The following is a computed X-ray diffraction stick pattern of BaCa2ReI. It was derived from a crystal structure in Alexandria, relaxed with GGA-PBE, using Cu Kα X-rays.

Largest 10 diffraction maxima, most intense first, 2θ from 10° to 90°:
two_theta  intensity
21.9  100
31.2  92
26.0  81
42.2  79
27.7  63
35.6  59
20.7  58
53.4  39
44.7  34
58.4  29

Atomic structure:
abc: 5.7326 5.7326 6.4494
angles: 90.00 90.00 90.00
Space group P4/mmm (No. 123)
Symmetry-distinct sites (fractional):
Ba  0.0000  0.0000  0.0000
Ca  0.0000  0.5000  0.5000
Re  0.5000  0.5000  0.0000
I  0.0000  0.0000  0.5000


The following is a computed X-ray diffraction stick pattern of NdMgNiIr. It was derived from a crystal structure in Alexandria, relaxed with GGA-PBE, using Cu Kα X-rays.

Largest 10 diffraction maxima, most intense first, 2θ from 10° to 90°:
two_theta  intensity
38.0  100
23.0  39
68.7  35
44.9  21
54.9  17
81.3  11
60.3  9
85.9  7
73.5  7
26.6  5

Atomic structure:
abc: 6.6912 6.6912 6.6912
angles: 90.00 90.00 90.00
Space group F-43m (No. 216)
Symmetry-distinct sites (fractional):
Nd  0.0000  0.0000  0.0000
Mg  0.0000  0.0000  0.5000
Ni  0.2500  0.2500  0.2500
Ir  0.2500  0.2500  0.7500


The following is a computed X-ray diffraction stick pattern of Ho7Co3. It was derived from a crystal structure in Alexandria, relaxed with GGA-PBE, using Cu Kα X-rays.

Largest 10 diffraction maxima, most intense first, 2θ from 10° to 90°:
two_theta  intensity
32.3  100
31.3  40
35.8  37
36.7  30
57.4  23
56.4  23
37.8  23
57.9  21
28.6  20
58.1  17

Atomic structure:
abc: 9.5227 9.5227 6.0837
angles: 90.00 90.00 120.00
Space group P6_3mc (No. 186)
Symmetry-distinct sites (fractional):
Ho  0.0828  0.5414  0.0000
Ho  0.1238  0.2476  0.6797
Ho  0.3333  0.6667  0.4724
Co  0.1897  0.3795  0.2626


The following is a computed X-ray diffraction stick pattern of Si23Ge. It was derived from a crystal structure in Alexandria, relaxed with GGA-PBE, using Cu Kα X-rays.

Largest 10 diffraction maxima, most intense first, 2θ from 10° to 90°:
two_theta  intensity
32.8  100
12.3  62
19.4  49
55.5  44
37.4  24
52.2  22
53.9  20
36.3  17
40.5  16
53.0  14

Atomic structure:
abc: 10.2142 10.2142 10.2142
angles: 90.00 90.00 90.00
Space group Pm-3n (No. 223)
Symmetry-distinct sites (fractional):
Si  0.0000  0.1169  0.3081
Si  0.0000  0.2500  0.5000
Si  0.1826  0.1826  0.1826
Ge  0.0000  0.0000  0.0000


The following is a computed X-ray diffraction stick pattern of Ba6BiH5. It was derived from a crystal structure in Alexandria, relaxed with GGA-PBE, using Cu Kα X-rays.

Largest 10 diffraction maxima, most intense first, 2θ from 10° to 90°:
two_theta  intensity
29.2  100
25.1  68
41.5  51
28.5  51
27.2  32
40.9  30
24.8  24
24.6  23
53.9  21
21.5  19

Atomic structure:
abc: 7.7187 12.9098 7.5561
angles: 90.00 110.45 90.00
Space group C2/m (No. 12)
Symmetry-distinct sites (fractional):
Ba  0.2106  0.1901  0.2398
Ba  0.2324  0.0000  0.7875
Bi  0.0000  0.5000  0.5000
H  0.0000  0.0000  0.0000
H  0.0000  0.1612  0.5000
H  0.0000  0.3508  0.0000


The following is a computed X-ray diffraction stick pattern of Np2SeF4. It was derived from a crystal structure in Alexandria, relaxed with GGA-PBE, using Cu Kα X-rays.

Largest 10 diffraction maxima, most intense first, 2θ from 10° to 90°:
two_theta  intensity
28.2  100
44.5  61
23.6  57
33.6  40
35.1  25
42.8  19
71.6  19
26.5  18
58.4  17
49.9  17

Atomic structure:
abc: 7.5334 7.5334 3.9244
angles: 90.00 90.00 90.00
Space group P4_2/mnm (No. 136)
Symmetry-distinct sites (fractional):
Np  0.2188  0.2188  0.0000
Se  0.0000  0.0000  0.5000
F  0.0894  0.6677  0.0000


The following is a computed X-ray diffraction stick pattern of BaCu2PdCl8. It was derived from a crystal structure in Alexandria, relaxed with GGA-PBE, using Cu Kα X-rays.

Largest 10 diffraction maxima, most intense first, 2θ from 10° to 90°:
two_theta  intensity
25.2  100
14.5  90
18.1  83
26.2  72
36.7  70
51.7  69
45.0  44
33.5  30
44.4  28
40.5  24

Atomic structure:
abc: 7.0671 7.0671 8.1739
angles: 90.00 90.00 120.00
Space group P-3m1 (No. 164)
Symmetry-distinct sites (fractional):
Ba  0.0000  0.0000  0.0000
Cu  0.3333  0.6667  0.2334
Pd  0.0000  0.0000  0.5000
Cl  0.1561  0.3122  0.3160
Cl  0.3333  0.6667  0.9678


The following is a computed X-ray diffraction stick pattern of Pm2NpFe2N6. It was derived from a crystal structure in Alexandria, relaxed with GGA-PBE, using Cu Kα X-rays.

Largest 10 diffraction maxima, most intense first, 2θ from 10° to 90°:
two_theta  intensity
31.4  100
32.5  90
56.6  39
18.8  38
45.8  38
28.1  27
55.9  20
42.6  17
75.1  16
58.7  16

Atomic structure:
abc: 5.6962 5.6962 16.6064
angles: 90.00 90.00 120.00
Space group R-3m (No. 166, hexagonal axes)
Symmetry-distinct sites (fractional):
Pm  0.0000  0.0000  0.2105
Np  0.0000  0.0000  0.0000
Fe  0.0000  0.0000  0.4078
N  0.0159  0.5080  0.7576